Record 1
Structure and simulated powder diffraction line list of CaBi4O8 (a DFT-relaxed cell (PBE, the Materials Project); Cu Kα (λ = 1.5418 Å)).
Intensities are scaled so that the largest is 100.

Cell and atoms:
```
CaBi4O8
1.0
3.566 2.059 5.585
-3.566 2.059 5.585
0.000 -4.118 5.585
Ca Bi O
1 4 8
Direct
0.000 0.000 0.000
0.000 0.000 0.500
0.000 0.500 0.000
0.500 0.000 0.000
0.500 0.500 0.500
0.217 0.749 0.749
0.229 0.229 0.229
0.251 0.251 0.783
0.251 0.783 0.251
0.749 0.217 0.749
0.749 0.749 0.217
0.771 0.771 0.771
0.783 0.251 0.251
```

Top 8 peaks for 2θ = 10–90°, low angle first:
| 2theta | d/Å | I (rel.) |
| --- | --- | --- |
| 15.87 | 5.585 | 100 |
| 29.41 | 3.037 | 63 |
| 30.86 | 2.898 | 50 |
| 36.13 | 2.486 | 61 |
| 39.69 | 2.271 | 26 |
| 48.09 | 1.892 | 20 |
| 51.23 | 1.783 | 22 |
| 53.98 | 1.699 | 27 |

Record 2
Structure and simulated powder diffraction line list of CeSe2 (a DFT-relaxed cell (PBE, the Materials Project); Cu Kα (λ = 1.5418 Å)).
Intensities are scaled so that the largest is 100.

Cell and atoms:
```
CeSe2
1.0
-3.045 3.486 3.763
3.045 -3.486 3.763
3.045 3.486 -3.763
Ce Se
2 4
Direct
0.250 0.250 0.000
0.750 0.750 0.000
0.211 0.691 0.902
0.289 0.191 0.481
0.711 0.809 0.519
0.789 0.309 0.098
```

Top 8 peaks for 2θ = 10–90°, low angle first:
| 2theta | d/Å | I (rel.) |
| --- | --- | --- |
| 19.35 | 4.587 | 90 |
| 30.73 | 2.909 | 86 |
| 34.27 | 2.617 | 29 |
| 35.09 | 2.557 | 100 |
| 38.01 | 2.367 | 68 |
| 39.29 | 2.293 | 55 |
| 48.39 | 1.881 | 33 |
| 64.01 | 1.455 | 26 |

Record 3
Structure and simulated powder diffraction line list of CaO (a DFT-relaxed cell (PBE, the Materials Project); Cu Kα (λ = 1.5418 Å)).
Intensities are scaled so that the largest is 100.

Cell and atoms:
```
CaO
1.0
0.000 2.420 2.420
2.420 0.000 2.420
2.420 2.420 0.000
Ca O
1 1
Direct
0.000 0.000 0.000
0.500 0.500 0.500
```

Top 7 peaks for 2θ = 10–90°, low angle first:
| 2theta | d/Å | I (rel.) |
| --- | --- | --- |
| 32.03 | 2.794 | 38 |
| 37.16 | 2.420 | 100 |
| 53.56 | 1.711 | 59 |
| 63.79 | 1.459 | 16 |
| 66.99 | 1.397 | 18 |
| 79.17 | 1.210 | 8 |
| 87.96 | 1.110 | 7 |

Record 4
Structure and simulated powder diffraction line list of MnP4 (a DFT-relaxed cell (PBE, the Materials Project); Cu Kα (λ = 1.5418 Å)).
Intensities are scaled so that the largest is 100.

Cell and atoms:
```
MnP4
1.0
5.111 0.000 0.000
2.529 5.279 0.000
1.472 -0.471 16.278
Mn P
6 24
Direct
0.001 0.318 0.406
0.009 0.950 0.741
0.371 0.620 0.925
0.629 0.380 0.075
0.991 0.050 0.259
0.999 0.682 0.594
0.066 0.071 0.116
0.117 0.635 0.451
0.129 0.995 0.610
0.134 0.359 0.272
0.156 0.252 0.770
0.192 0.691 0.056
0.217 0.327 0.900
0.426 0.741 0.274
0.443 0.027 0.434
0.444 0.648 0.781
0.453 0.379 0.600
0.489 0.072 0.065
0.511 0.928 0.935
0.547 0.621 0.400
0.556 0.352 0.219
0.557 0.973 0.566
0.574 0.259 0.726
0.783 0.673 0.100
0.808 0.309 0.944
0.844 0.748 0.230
0.866 0.641 0.728
0.871 0.005 0.390
0.883 0.365 0.549
0.934 0.929 0.884
```

Top 8 peaks for 2θ = 10–90°, low angle first:
| 2theta | d/Å | I (rel.) |
| --- | --- | --- |
| 20.54 | 4.323 | 43 |
| 32.00 | 2.796 | 80 |
| 32.59 | 2.748 | 78 |
| 33.02 | 2.713 | 100 |
| 39.30 | 2.293 | 27 |
| 49.56 | 1.839 | 25 |
| 53.01 | 1.727 | 39 |
| 54.43 | 1.686 | 29 |

Record 5
Structure and simulated powder diffraction line list of SiO2 (a DFT-relaxed cell (PBE, the Materials Project); Cu Kα (λ = 1.5418 Å)).
Intensities are scaled so that the largest is 100.

Cell and atoms:
```
SiO2
1.0
6.853 3.956 4.985
-6.853 3.956 4.985
0.000 -7.913 4.985
Si O
12 24
Direct
0.104 0.333 0.876
0.104 0.876 0.333
0.124 0.667 0.896
0.124 0.896 0.667
0.333 0.104 0.876
0.333 0.876 0.104
0.667 0.124 0.896
0.667 0.896 0.124
0.876 0.104 0.333
0.876 0.333 0.104
0.896 0.124 0.667
0.896 0.667 0.124
0.000 0.263 0.737
0.000 0.737 0.263
0.022 0.022 0.319
0.022 0.319 0.022
0.110 0.749 0.749
0.148 0.500 0.852
0.148 0.852 0.500
0.251 0.251 0.890
0.251 0.890 0.251
0.263 0.000 0.737
0.263 0.737 0.000
0.319 0.022 0.022
0.500 0.148 0.852
0.500 0.852 0.148
0.681 0.978 0.978
0.737 0.000 0.263
0.737 0.263 0.000
0.749 0.110 0.749
0.749 0.749 0.110
0.852 0.148 0.500
0.852 0.500 0.148
0.890 0.251 0.251
0.978 0.681 0.978
0.978 0.978 0.681
```

Top 8 peaks for 2θ = 10–90°, low angle first:
| 2theta | d/Å | I (rel.) |
| --- | --- | --- |
| 12.92 | 6.853 | 100 |
| 16.07 | 5.516 | 43 |
| 17.79 | 4.985 | 45 |
| 20.67 | 4.297 | 92 |
| 24.97 | 3.566 | 34 |
| 26.00 | 3.426 | 27 |
| 30.72 | 2.911 | 49 |
| 31.14 | 2.872 | 23 |

Repeat the second record exactly.
Structure and simulated powder diffraction line list of CeSe2 (a DFT-relaxed cell (PBE, the Materials Project); Cu Kα (λ = 1.5418 Å)).
Intensities are scaled so that the largest is 100.

Cell and atoms:
```
CeSe2
1.0
-3.045 3.486 3.763
3.045 -3.486 3.763
3.045 3.486 -3.763
Ce Se
2 4
Direct
0.250 0.250 0.000
0.750 0.750 0.000
0.211 0.691 0.902
0.289 0.191 0.481
0.711 0.809 0.519
0.789 0.309 0.098
```

Top 8 peaks for 2θ = 10–90°, low angle first:
| 2theta | d/Å | I (rel.) |
| --- | --- | --- |
| 19.35 | 4.587 | 90 |
| 30.73 | 2.909 | 86 |
| 34.27 | 2.617 | 29 |
| 35.09 | 2.557 | 100 |
| 38.01 | 2.367 | 68 |
| 39.29 | 2.293 | 55 |
| 48.39 | 1.881 | 33 |
| 64.01 | 1.455 | 26 |